Record 1
Structure and calculated powder X-ray diffraction pattern of ZnNi2Ge (a cell relaxed with PBE; CuKα).
Intensities are scaled so that the largest is 100.

Crystal structure
Lattice parameters (Å, degrees): 5.811 5.811 5.811 90.00 90.00 90.00
Space group Fm-3m (No. 225)
Inequivalent atoms, fractional coordinates:
Zn  0.000  0.000  0.000
Ni  0.250  0.250  0.250
Ge  0.000  0.000  0.500

The 3 most intense peaks (2θ = 10–90°), by angle:
d [Å]	2θ/deg	I (rel.)
2.054	44.08	100
1.453	64.10	15
1.186	81.07	30

---

Record 2
Structure and calculated powder X-ray diffraction pattern of Zr6Ni16Ge7 (a cell relaxed with PBE; CuKα).
Intensities are scaled so that the largest is 100.

Crystal structure
Lattice parameters (Å, degrees): 11.692 11.692 11.692 90.00 90.00 90.00
Space group Fm-3m (No. 225)
Inequivalent atoms, fractional coordinates:
Zr  0.000  0.000  0.206
Ni  0.119  0.119  0.381
Ni  0.169  0.169  0.169
Ge  0.000  0.000  0.500
Ge  0.000  0.250  0.250

The 6 most intense peaks (2θ = 10–90°), by angle:
d [Å]	2θ/deg	I (rel.)
2.387	37.69	20
2.250	40.07	61
2.067	43.80	100
1.976	45.92	16
1.193	80.48	14
1.175	81.99	13

---

Record 3
Structure and calculated powder X-ray diffraction pattern of Np5Ge3 (a cell relaxed with PBE; CuKα).
Intensities are scaled so that the largest is 100.

Crystal structure
Lattice parameters (Å, degrees): 10.941 10.941 5.079 90.00 90.00 90.00
Space group I4/mcm (No. 140)
Inequivalent atoms, fractional coordinates:
Np  0.000  0.500  0.250
Np  0.072  0.243  0.000
Ge  0.000  0.000  0.250
Ge  0.173  0.327  0.500

The 6 most intense peaks (2θ = 10–90°), by angle:
d [Å]	2θ/deg	I (rel.)
3.524	25.27	43
2.605	34.43	53
2.446	36.74	80
2.352	38.27	100
2.304	39.10	41
2.123	42.58	69

---

Record 4
Structure and calculated powder X-ray diffraction pattern of NpGe3 (a cell relaxed with PBE; CuKα).
Intensities are scaled so that the largest is 100.

Crystal structure
Lattice parameters (Å, degrees): 4.229 4.229 4.229 90.00 90.00 90.00
Space group Pm-3m (No. 221)
Inequivalent atoms, fractional coordinates:
Np  0.000  0.000  0.000
Ge  0.000  0.500  0.500

The 6 most intense peaks (2θ = 10–90°), by angle:
d [Å]	2θ/deg	I (rel.)
4.229	21.01	34
2.990	29.88	30
2.442	36.81	100
2.114	42.77	49
1.495	62.08	33
1.275	74.40	39

---

Record 5
Structure and calculated powder X-ray diffraction pattern of Np5Ge4 (a cell relaxed with PBE; CuKα).
Intensities are scaled so that the largest is 100.

Crystal structure
Lattice parameters (Å, degrees): 8.4296 8.4296 5.6874 90.00 90.00 120.00
Space group P6_3/mcm (No. 193)
Inequivalent atoms, fractional coordinates:
Np  0.0000  0.2999  0.2500
Np  0.3333  0.6667  0.0000
Ge  0.0000  0.0000  0.0000
Ge  0.0000  0.3659  0.7500

The 6 most intense peaks (2θ = 10–90°), by angle:
d [Å]	2θ/deg	I (rel.)
3.386	26.32	39
2.433	36.94	100
2.357	38.18	97
1.693	54.17	33
1.390	67.38	29
1.228	77.80	24

---

Record 6
Structure and calculated powder X-ray diffraction pattern of NpGeO2 (a cell relaxed with PBE; CuKα).
Intensities are scaled so that the largest is 100.

Crystal structure
Lattice parameters (Å, degrees): 6.709 6.709 11.317 90.00 90.00 90.00
Space group I4_1/amd (No. 141, origin choice 2)
Inequivalent atoms, fractional coordinates:
Np  0.000  0.000  0.000
Ge  0.000  0.000  0.500
O  0.000  0.020  0.798

The 6 most intense peaks (2θ = 10–90°), by angle:
d [Å]	2θ/deg	I (rel.)
5.771	15.35	48
2.886	30.99	100
2.829	31.62	31
2.372	37.93	43
1.818	50.19	34
1.450	64.23	27

---

Record 7
Structure and calculated powder X-ray diffraction pattern of NpGe2Rh2 (a cell relaxed with PBE; CuKα).
Intensities are scaled so that the largest is 100.

Crystal structure
Lattice parameters (Å, degrees): 4.122 4.122 10.574 90.00 90.00 90.00
Space group I4/mmm (No. 139)
Inequivalent atoms, fractional coordinates:
Np  0.000  0.000  0.000
Ge  0.000  0.000  0.379
Rh  0.000  0.500  0.250

The 6 most intense peaks (2θ = 10–90°), by angle:
d [Å]	2θ/deg	I (rel.)
2.679	33.45	61
2.552	35.16	100
2.061	43.93	47
1.882	48.37	25
1.633	56.32	28
1.266	75.06	22

---

Question: What is the formula in the second record?
Answer: Zr6Ni16Ge7

---

Question: Number 5 is which compound?
Answer: Np5Ge4